1.
The following is a calculated powder diffractogram of Ag7PSe6. It was derived from a structure optimized by DFT (GGA-PBE), using CuKα.
No peak broadening, texture or thermal motion is included.

Cell and atoms:
Cell: 10.922 10.922 10.922 Å, 90.00 90.00 90.00°
Element x y z (fractional)
1 Ag 0.012 0.014 0.280
2 Ag 0.014 0.280 0.012
3 Ag 0.071 0.894 0.727
4 Ag 0.106 0.227 0.429
5 Ag 0.157 0.657 0.843
6 Ag 0.220 0.988 0.514
7 Ag 0.227 0.429 0.106
8 Ag 0.273 0.571 0.606
9 Ag 0.280 0.012 0.014
10 Ag 0.343 0.343 0.343
11 Ag 0.394 0.773 0.929
12 Ag 0.429 0.106 0.227
13 Ag 0.486 0.720 0.512
14 Ag 0.488 0.986 0.780
15 Ag 0.512 0.486 0.720
16 Ag 0.514 0.220 0.988
17 Ag 0.571 0.606 0.273
18 Ag 0.606 0.273 0.571
19 Ag 0.657 0.843 0.157
20 Ag 0.720 0.512 0.486
21 Ag 0.727 0.071 0.894
22 Ag 0.773 0.929 0.394
23 Ag 0.780 0.488 0.986
24 Ag 0.843 0.157 0.657
25 Ag 0.894 0.727 0.071
26 Ag 0.929 0.394 0.773
27 Ag 0.986 0.780 0.488
28 Ag 0.988 0.514 0.220
29 P 0.247 0.753 0.253
30 P 0.253 0.247 0.753
31 P 0.747 0.747 0.747
32 P 0.753 0.253 0.247
33 Se 0.022 0.522 0.978
34 Se 0.122 0.859 0.130
35 Se 0.130 0.122 0.859
36 Se 0.133 0.367 0.633
37 Se 0.141 0.630 0.378
38 Se 0.209 0.209 0.209
39 Se 0.291 0.791 0.709
40 Se 0.359 0.370 0.878
41 Se 0.367 0.633 0.133
42 Se 0.370 0.878 0.359
43 Se 0.378 0.141 0.630
44 Se 0.478 0.478 0.478
45 Se 0.522 0.978 0.022
46 Se 0.622 0.641 0.870
47 Se 0.630 0.378 0.141
48 Se 0.633 0.133 0.367
49 Se 0.641 0.870 0.622
50 Se 0.709 0.291 0.791
51 Se 0.791 0.709 0.291
52 Se 0.859 0.130 0.122
53 Se 0.867 0.867 0.867
54 Se 0.870 0.622 0.641
55 Se 0.878 0.359 0.370
56 Se 0.978 0.022 0.522

Top 10 peaks for 10 to 90 degrees two-theta, low angle first:
two_theta  Rel. int.  h k l
28.31  100  2 2 2
29.49  23  3 0 2
30.63  41  3 1 2
34.85  39  4 1 1
36.80  21  4 2 0
41.33  20  4 0 3
42.19  30  4 3 1
43.03  39  3 3 3
45.49  20  5 1 2
47.07  41  4 4 0


2.
The following is a calculated powder diffractogram of Ag3PSe4. It was derived from a structure optimized by DFT (GGA-PBE), using CuKα.
No peak broadening, texture or thermal motion is included.

Cell and atoms:
Cell: 7.317 7.317 7.317 Å, 90.00 90.00 90.00°
Element x y z (fractional)
1 Ag 0.000 0.250 0.500
2 Ag 0.000 0.750 0.500
3 Ag 0.250 0.500 0.000
4 Ag 0.500 0.000 0.250
5 Ag 0.500 0.000 0.750
6 Ag 0.750 0.500 0.000
7 P 0.000 0.000 0.000
8 P 0.500 0.500 0.500
9 Se 0.178 0.178 0.822
10 Se 0.178 0.822 0.178
11 Se 0.322 0.322 0.322
12 Se 0.322 0.678 0.678
13 Se 0.678 0.322 0.678
14 Se 0.678 0.678 0.322
15 Se 0.822 0.178 0.178
16 Se 0.822 0.822 0.822

Top 10 peaks for 10 to 90 degrees two-theta, low angle first:
two_theta  Rel. int.  h k l
27.25  100  2 1 0
29.91  81  2 1 1
38.92  36  3 1 0
42.81  32  2 2 2
44.65  25  3 2 0
46.43  48  3 2 1
53.10  29  4 1 1
57.74  23  4 2 1
69.14  19  5 2 0
81.01  19  5 3 2


3.
The following is a calculated powder diffractogram of Sm3Ag4P4. It was derived from a structure optimized by DFT (GGA-PBE), using CuKα.
No peak broadening, texture or thermal motion is included.

Cell and atoms:
Cell: 4.290 4.290 14.448 Å, 90.00 90.00 120.00°
Element x y z (fractional)
1 Sm 0.000 0.000 0.000
2 Sm 0.000 0.000 0.282
3 Sm 0.000 0.000 0.718
4 Ag 0.333 0.667 0.137
5 Ag 0.333 0.667 0.562
6 Ag 0.667 0.333 0.438
7 Ag 0.667 0.333 0.863
8 P 0.333 0.667 0.376
9 P 0.333 0.667 0.868
10 P 0.667 0.333 0.132
11 P 0.667 0.333 0.624

Top 10 peaks for 10 to 90 degrees two-theta, low angle first:
two_theta  Rel. int.  h k l
26.99  52  1 0 2
30.39  100  1 0 3
34.64  95  0 1 4
39.51  30  0 1 5
42.13  96  1 1 0
55.64  24  2 0 4
62.45  44  1 1 7
69.79  26  1 0 10
72.18  22  1 2 4
77.01  23  3 0 0


4.
The following is a calculated powder diffractogram of PaTcAg. It was derived from a structure optimized by DFT (GGA-PBE), using CuKα.
No peak broadening, texture or thermal motion is included.

Cell and atoms:
Cell: 6.460 6.460 6.460 Å, 90.00 90.00 90.00°
Element x y z (fractional)
1 Pa 0.000 0.000 0.000
2 Pa 0.000 0.500 0.500
3 Pa 0.500 0.000 0.500
4 Pa 0.500 0.500 0.000
5 Tc 0.000 0.000 0.500
6 Tc 0.000 0.500 0.000
7 Tc 0.500 0.000 0.000
8 Tc 0.500 0.500 0.500
9 Ag 0.250 0.250 0.250
10 Ag 0.250 0.750 0.750
11 Ag 0.750 0.250 0.750
12 Ag 0.750 0.750 0.250

Top 10 peaks for 10 to 90 degrees two-theta, low angle first:
two_theta  Rel. int.  h k l
23.86  35  1 1 1
27.62  30  2 0 0
39.45  100  2 2 0
46.63  18  3 1 1
48.84  9  2 2 2
57.03  17  4 0 0
62.69  8  3 3 1
64.51  12  4 2 0
71.55  34  4 2 2
84.92  11  4 4 0


Repeat the fourth record exactly.
The following is a calculated powder diffractogram of PaTcAg. It was derived from a structure optimized by DFT (GGA-PBE), using CuKα.
No peak broadening, texture or thermal motion is included.

Cell and atoms:
Cell: 6.460 6.460 6.460 Å, 90.00 90.00 90.00°
Element x y z (fractional)
1 Pa 0.000 0.000 0.000
2 Pa 0.000 0.500 0.500
3 Pa 0.500 0.000 0.500
4 Pa 0.500 0.500 0.000
5 Tc 0.000 0.000 0.500
6 Tc 0.000 0.500 0.000
7 Tc 0.500 0.000 0.000
8 Tc 0.500 0.500 0.500
9 Ag 0.250 0.250 0.250
10 Ag 0.250 0.750 0.750
11 Ag 0.750 0.250 0.750
12 Ag 0.750 0.750 0.250

Top 10 peaks for 10 to 90 degrees two-theta, low angle first:
two_theta  Rel. int.  h k l
23.86  35  1 1 1
27.62  30  2 0 0
39.45  100  2 2 0
46.63  18  3 1 1
48.84  9  2 2 2
57.03  17  4 0 0
62.69  8  3 3 1
64.51  12  4 2 0
71.55  34  4 2 2
84.92  11  4 4 0


Copy entry 2 word for word.
The following is a calculated powder diffractogram of Ag3PSe4. It was derived from a structure optimized by DFT (GGA-PBE), using CuKα.
No peak broadening, texture or thermal motion is included.

Cell and atoms:
Cell: 7.317 7.317 7.317 Å, 90.00 90.00 90.00°
Element x y z (fractional)
1 Ag 0.000 0.250 0.500
2 Ag 0.000 0.750 0.500
3 Ag 0.250 0.500 0.000
4 Ag 0.500 0.000 0.250
5 Ag 0.500 0.000 0.750
6 Ag 0.750 0.500 0.000
7 P 0.000 0.000 0.000
8 P 0.500 0.500 0.500
9 Se 0.178 0.178 0.822
10 Se 0.178 0.822 0.178
11 Se 0.322 0.322 0.322
12 Se 0.322 0.678 0.678
13 Se 0.678 0.322 0.678
14 Se 0.678 0.678 0.322
15 Se 0.822 0.178 0.178
16 Se 0.822 0.822 0.822

Top 10 peaks for 10 to 90 degrees two-theta, low angle first:
two_theta  Rel. int.  h k l
27.25  100  2 1 0
29.91  81  2 1 1
38.92  36  3 1 0
42.81  32  2 2 2
44.65  25  3 2 0
46.43  48  3 2 1
53.10  29  4 1 1
57.74  23  4 2 1
69.14  19  5 2 0
81.01  19  5 3 2